For TiH2SO6, a PBE-relaxed structure gives the computed X-ray diffraction stick pattern in this record (CuKα).
Kinematic intensities with the Lorentz-polarization factor, no thermal factor.

Structural model:
a = 5.161 Å, b = 8.794 Å, c = 10.098 Å
α = 90.00°, β = 90.00°, γ = 90.00°
Atoms (fractional coordinates):
Ti 0.237 0.208 0.381
Ti 0.263 0.792 0.881
Ti 0.737 0.292 0.619
Ti 0.763 0.708 0.119
H 0.086 0.073 0.963
H 0.100 0.931 0.478
H 0.400 0.069 0.978
H 0.414 0.927 0.463
H 0.586 0.427 0.037
H 0.600 0.569 0.522
H 0.900 0.431 0.022
H 0.914 0.573 0.537
S 0.239 0.577 0.318
S 0.261 0.423 0.818
S 0.739 0.923 0.682
S 0.761 0.077 0.182
O 0.026 0.129 0.220
O 0.037 0.738 0.019
O 0.064 0.349 0.734
O 0.220 0.391 0.960
O 0.247 0.023 0.934
O 0.247 0.592 0.792
O 0.253 0.408 0.292
O 0.253 0.977 0.434
O 0.280 0.609 0.460
O 0.436 0.651 0.234
O 0.463 0.262 0.519
O 0.474 0.871 0.720
O 0.526 0.371 0.780
O 0.537 0.762 0.981
O 0.564 0.151 0.266
O 0.720 0.109 0.040
O 0.747 0.477 0.066
O 0.747 0.908 0.208
O 0.753 0.092 0.708
O 0.753 0.523 0.566
O 0.780 0.891 0.540
O 0.936 0.849 0.766
O 0.963 0.238 0.481
O 0.974 0.629 0.280

Top 12 peaks for 2θ = 5–70°, low angle first:
13.35°, rel. 43, hkl 0 1 1
19.95°, rel. 15, hkl 1 1 0
21.82°, rel. 9, hkl 1 1 1
22.05°, rel. 52, hkl 0 2 1
24.67°, rel. 100, hkl 1 0 2
26.70°, rel. 22, hkl 1 1 2
28.09°, rel. 16, hkl 1 2 1
31.79°, rel. 29, hkl 0 3 1
34.77°, rel. 14, hkl 2 0 0
36.35°, rel. 13, hkl 1 3 1
37.05°, rel. 9, hkl 0 1 4
55.17°, rel. 12, hkl 1 5 0